1.
Simulated X-ray diffraction stick pattern of AsPb3S2 for a wavelength of 1.5418 Å, from DFT lattice parameters and positions (GGA-PBE).
Neutral-atom scattering factors, no anomalous dispersion.

Principal peaks in the range 2θ from 15° to 90°, by angle:
- 25.7 deg, intensity 100
- 29.4 deg, intensity 48
- 30.0 deg, intensity 92
- 42.5 deg, intensity 72
- 43.0 deg, intensity 35
- 52.9 deg, intensity 38

Crystal structure
```
AsPb3S2
1.0
-2.1050 2.1050 9.1269
2.1050 -2.1050 9.1269
2.1050 2.1050 -9.1269
As Pb S
1 3 2
Cartesian
0.0000 0.0000 0.0000
0.0000 0.0000 3.0550
0.0000 0.0000 9.1269
0.0000 0.0000 15.1989
0.0000 0.0000 6.1165
0.0000 0.0000 12.1374
```

2.
Simulated X-ray diffraction stick pattern of As4Pb9S15 for a wavelength of 1.5418 Å, from DFT lattice parameters and positions (GGA-PBE).
Neutral-atom scattering factors, no anomalous dispersion.

Principal peaks in the range 2θ from 15° to 90°, by angle:
- 21.7 deg, intensity 45
- 23.0 deg, intensity 66
- 25.0 deg, intensity 100
- 25.8 deg, intensity 43
- 30.4 deg, intensity 37
- 39.8 deg, intensity 43

Crystal structure
```
As4Pb9S15
1.0
9.0587 5.2301 2.8292
-9.0587 5.2301 2.8292
0.0000 -10.4601 2.8292
As Pb S
4 9 15
Cartesian
0.0000 0.0000 0.0000
-3.4681 -2.0023 2.9694
3.4681 -2.0023 2.9694
0.0000 4.0046 2.9694
-2.1683 -6.6822 2.8655
-6.8711 1.4633 2.8655
2.1683 -6.6822 2.8655
-4.7028 5.2189 2.8655
0.0000 -3.0239 4.4950
-2.6187 1.5119 4.4950
2.6187 1.5119 4.4950
6.8711 1.4633 2.8655
4.7028 5.2189 2.8655
-7.2979 -4.2135 4.6357
-3.9635 -4.2615 3.1067
-5.6723 -1.3017 3.1067
0.0000 -4.9965 2.1759
-4.3271 2.4982 2.1759
-2.5398 -1.4664 4.8760
3.9635 -4.2615 3.1067
-1.7088 5.5632 3.1067
4.3271 2.4983 2.1759
5.6723 -1.3017 3.1067
1.7088 5.5632 3.1067
2.5398 -1.4664 4.8760
0.0000 2.9327 4.8760
7.2979 -4.2135 4.6357
0.0000 8.4269 4.6357
```

3.
Simulated X-ray diffraction stick pattern of AsPbS3 for a wavelength of 1.5418 Å, from DFT lattice parameters and positions (GGA-PBE).
Neutral-atom scattering factors, no anomalous dispersion.

Principal peaks in the range 2θ from 15° to 90°, by angle:
- 26.6 deg, intensity 39
- 30.6 deg, intensity 100
- 31.5 deg, intensity 24
- 33.2 deg, intensity 27
- 39.5 deg, intensity 36
- 45.8 deg, intensity 24

Crystal structure
```
AsPbS3
1.0
7.6078 0.0000 0.0000
0.0000 3.8179 0.0000
-3.7493 0.0000 8.5081
As Pb S
2 2 6
Cartesian
0.0602 0.0000 2.4101
3.7982 0.0000 6.0980
-0.0034 1.9090 5.6890
3.8618 1.9090 2.8191
-1.8747 0.0000 4.2540
-1.7569 0.0000 7.4719
2.0554 0.0000 1.0172
1.9292 0.0000 4.2540
1.8031 0.0000 7.4909
5.6154 0.0000 1.0362
```